Computed X-ray powder pattern
Compound: RbLi2Np3S8
Radiation: CuKα
Structure: a DFT-relaxed cell (GGA-PBE, Alexandria)

Most intense lines, 2θ = 10–80°, most intense first:
| d [Å] | I/Imax | hkl |
| --- | --- | --- |
| 8.279 | 100.0 | 0 0 3 |
| 3.007 | 34.9 | 0 2 4 |
| 3.405 | 33.8 | 0 2 1 |
| 2.469 | 31.2 | 0 2 7 |
| 2.304 | 18.8 | 2 0 8 |
| 6.015 | 18.4 | 0 1 2 |
| 1.985 | 16.8 | 2 2 0 |
| 1.930 | 15.7 | 2 2 3 |
| 3.579 | 14.9 | 1 1 3 |
| 4.608 | 13.8 | 1 0 4 |

Structural model:
```
data_RbLi2Np3S8
_cell_length_a 7.9382
_cell_length_b 7.9382
_cell_length_c 24.8380
_cell_angle_alpha 90.00
_cell_angle_beta 90.00
_cell_angle_gamma 120.00
_space_group_name_H-M_alt 'R 3 m'
_space_group_IT_number 160
_space_group_name_Hall 'R 3 -2"'
loop_
_atom_site_label
_atom_site_fract_x
_atom_site_fract_y
_atom_site_fract_z
Rb1 0.0000 0.0000 0.0000
Li1 0.0000 0.0000 0.4176
Li2 0.0000 0.0000 0.8444
Np1 0.1670 0.3340 0.1869
S1 0.0000 0.0000 0.1305
S2 0.0000 0.0000 0.5768
S3 0.0221 0.5111 0.1276
S4 0.1711 0.3421 0.9068
```